Theoretical X-ray diffraction stick pattern
Compound: YMo6S8
Radiation: Cu Kα (weighted mean of Kα1 and Kα2)
Structure: a DFT-relaxed cell (PBE, Alexandria)
Peak positions follow from Bragg's law for the DFT cell and can differ from measured ones.

Structure:
```
YMo6S8
1.0
4.5728 2.6401 3.7901
-4.5728 2.6401 3.7901
0.0000 -5.2802 3.7901
Y Mo S
1 6 8
Direct
0.0000 0.0000 0.0000 Y
0.2231 0.5600 0.4204 Mo
0.4204 0.2231 0.5600 Mo
0.4400 0.5796 0.7769 Mo
0.5600 0.4204 0.2231 Mo
0.5796 0.7769 0.4400 Mo
0.7769 0.4400 0.5796 Mo
0.1285 0.3683 0.7520 S
0.2383 0.2383 0.2383 S
0.2480 0.8715 0.6317 S
0.3683 0.7520 0.1285 S
0.6317 0.2480 0.8715 S
0.7520 0.1285 0.3683 S
0.7617 0.7617 0.7617 S
0.8715 0.6317 0.2480 S
```

The 12 most intense peaks (10° ≤ 2θ ≤ 90°), sorted by position:
2θ/deg, I_rel
13.63, 100
19.22, 26
19.41, 20
30.89, 34
33.84, 49
41.31, 31
41.89, 49
43.92, 35
44.20, 21
46.38, 60
52.93, 20
60.47, 16